This entry pairs a crystal structure of NdPaTl2O6 with its theoretical PXRD pattern. Radiation: Cu Kα X-rays. Structure: a structure optimized by DFT (GGA-PBE).
Lines closer than 0.1° are merged.

Top 6 peaks for 2θ from 10° to 90°, by angle:
- hkl 0 2 0, 2θ 28.1, d 3.181, I = 53
- hkl 1 1 1, 2θ 28.9, d 3.091, I = 99
- hkl 3 1 -1, 2θ 29.1, d 3.069, I = 100
- hkl 2 0 -2, 2θ 29.3, d 3.047, I = 39
- hkl 2 2 -2, 2θ 41.0, d 2.200, I = 46
- hkl 4 2 0, 2θ 51.2, d 1.785, I = 26

Structure:
Cell lengths 10.5118, 6.3618, 6.0947 Å; angles 90.00, 124.87, 90.00 degrees
Space group C2/m (No. 12)
Inequivalent atoms, fractional coordinates:
1 Nd 0.0000 0.0000 0.0000 (multiplicity 2)
2 Pa 0.0000 0.5000 0.5000 (multiplicity 2)
3 Tl 0.2482 0.0000 0.7175 (multiplicity 4)
4 O 0.0769 0.2566 0.3400 (multiplicity 8)
5 O 0.2342 0.5000 0.8682 (multiplicity 4)